For TaTl2BiO8, a GGA-PBE-relaxed structure gives the theoretical powder X-ray diffraction pattern in this record (copper Kα).
Neutral-atom scattering factors, no anomalous dispersion.

Main lines, sorted by position (2θ = 10–80°):
| d (Å) | I/Imax |
| --- | --- |
| 3.660 | 608 |
| 3.512 | 525 |
| 2.793 | 1000 |
| 2.534 | 333 |
| 1.898 | 418 |
| 1.856 | 366 |
| 1.583 | 105 |
| 1.508 | 222 |
| 1.396 | 115 |
| 1.318 | 102 |

Cell and atoms:
a b c (Å): 5.0730 5.0730 6.6929
angles (deg): 90.00 90.00 92.36
Fractional positions:
1 Ta 0.0000 0.0000 0.0000
2 Tl 0.5000 0.5000 0.2424
3 Tl 0.5000 0.5000 0.7576
4 Bi 0.0000 0.0000 0.5000
5 O 0.1786 0.8214 0.2334
6 O 0.1786 0.8214 0.7666
7 O 0.2837 0.2837 0.0000
8 O 0.2984 0.2984 0.5000
9 O 0.7016 0.7016 0.5000
10 O 0.7163 0.7163 0.0000
11 O 0.8214 0.1786 0.2334
12 O 0.8214 0.1786 0.7666